For SmAl20V2, a PBE-relaxed structure gives the theoretical XRD peak list in this record (Cu Kα, 1.54184 Å).
Lines closer than 0.1° are merged.

The 10 most intense peaks (10° ≤ 2θ ≤ 80°), low angle first:
5.140 Å, 17.25 deg, I 55; 4.383 Å, 20.26 deg, I 90; 2.570 Å, 34.91 deg, I 47; 2.457 Å, 36.57 deg, I 100; 2.299 Å, 39.19 deg, I 69; 2.217 Å, 40.70 deg, I 92; 2.192 Å, 41.19 deg, I 66; 1.713 Å, 53.48 deg, I 44; 1.425 Å, 65.48 deg, I 26; 1.285 Å, 73.74 deg, I 41

Atomic structure:
Cell: 10.2794 10.2794 10.2794 Å, 60.00 60.00 60.00°
Fractional coordinates of all 46 atoms:
Sm: 0.1250 0.1250 0.1250
Sm: 0.8750 0.8750 0.8750
Al: 0.0000 0.0000 0.0000
Al: 0.0000 0.0000 0.5000
Al: 0.0000 0.5000 0.0000
Al: 0.0570 0.3258 0.3258
Al: 0.0570 0.3258 0.7915
Al: 0.0570 0.7915 0.3258
Al: 0.2085 0.6742 0.6742
Al: 0.2085 0.6742 0.9430
Al: 0.2085 0.9430 0.6742
Al: 0.2366 0.2366 0.5134
Al: 0.2366 0.5134 0.2366
Al: 0.2366 0.5134 0.5134
Al: 0.3258 0.0570 0.3258
Al: 0.3258 0.0570 0.7915
Al: 0.3258 0.3258 0.0570
Al: 0.3258 0.3258 0.7915
Al: 0.3258 0.7915 0.0570
Al: 0.3258 0.7915 0.3258
Al: 0.4866 0.4866 0.7634
Al: 0.4866 0.7634 0.4866
Al: 0.4866 0.7634 0.7634
Al: 0.5000 0.0000 0.0000
Al: 0.5134 0.2366 0.2366
Al: 0.5134 0.2366 0.5134
Al: 0.5134 0.5134 0.2366
Al: 0.6742 0.2085 0.6742
Al: 0.6742 0.2085 0.9430
Al: 0.6742 0.6742 0.2085
Al: 0.6742 0.6742 0.9430
Al: 0.6742 0.9430 0.2085
Al: 0.6742 0.9430 0.6742
Al: 0.7634 0.4866 0.4866
Al: 0.7634 0.4866 0.7634
Al: 0.7634 0.7634 0.4866
Al: 0.7915 0.0570 0.3258
Al: 0.7915 0.3258 0.0570
Al: 0.7915 0.3258 0.3258
Al: 0.9430 0.2085 0.6742
Al: 0.9430 0.6742 0.2085
Al: 0.9430 0.6742 0.6742
V: 0.0000 0.5000 0.5000
V: 0.5000 0.0000 0.5000
V: 0.5000 0.5000 0.0000
V: 0.5000 0.5000 0.5000

=====

For Sm2YAl9, a PBE-relaxed structure gives the theoretical XRD peak list in this record (Cu Kα, 1.54184 Å).
Lines closer than 0.1° are merged.

The 10 most intense peaks (10° ≤ 2θ ≤ 80°), low angle first:
8.803 Å, 10.05 deg, I 48; 4.787 Å, 18.53 deg, I 58; 3.918 Å, 22.70 deg, I 26; 2.982 Å, 29.97 deg, I 83; 2.810 Å, 31.84 deg, I 87; 2.732 Å, 32.78 deg, I 49; 2.424 Å, 37.09 deg, I 44; 2.369 Å, 37.99 deg, I 100; 1.654 Å, 55.57 deg, I 30; 1.491 Å, 62.25 deg, I 31

Atomic structure:
Cell: 9.3821 9.3821 9.3821 Å, 34.86 34.86 34.86°
Fractional coordinates of all 12 atoms:
Sm: 0.1419 0.1419 0.1419
Sm: 0.8581 0.8581 0.8581
Y: 0.0000 0.0000 0.0000
Al: 0.0754 0.5864 0.5864
Al: 0.3353 0.3353 0.3353
Al: 0.4136 0.4136 0.9246
Al: 0.4136 0.9246 0.4136
Al: 0.5000 0.5000 0.5000
Al: 0.5864 0.0754 0.5864
Al: 0.5864 0.5864 0.0754
Al: 0.6647 0.6647 0.6647
Al: 0.9246 0.4136 0.4136

=====

For Sm7Y12Al, a PBE-relaxed structure gives the theoretical XRD peak list in this record (Cu Kα, 1.54184 Å).
Lines closer than 0.1° are merged.

The 10 most intense peaks (10° ≤ 2θ ≤ 80°), low angle first:
3.967 Å, 22.41 deg, I 25; 3.036 Å, 29.42 deg, I 29; 2.896 Å, 30.88 deg, I 62; 2.833 Å, 31.58 deg, I 100; 2.790 Å, 32.08 deg, I 43; 2.707 Å, 33.09 deg, I 88; 1.771 Å, 51.61 deg, I 20; 1.721 Å, 53.23 deg, I 19; 1.668 Å, 55.04 deg, I 19; 1.417 Å, 65.94 deg, I 13

Atomic structure:
Cell: 8.7118 8.7118 8.7118 Å, 86.93 86.93 86.93°
Fractional coordinates of all 20 atoms:
Sm: 0.0000 0.0000 0.0000
Sm: 0.1084 0.3571 0.4166
Sm: 0.3571 0.4166 0.1084
Sm: 0.4166 0.1084 0.3571
Sm: 0.5834 0.8916 0.6429
Sm: 0.6429 0.5834 0.8916
Sm: 0.8916 0.6429 0.5834
Y: 0.0056 0.6425 0.1069
Y: 0.1069 0.0056 0.6425
Y: 0.2492 0.7410 0.3645
Y: 0.2590 0.6355 0.7508
Y: 0.3575 0.8931 0.9944
Y: 0.3645 0.2492 0.7410
Y: 0.6355 0.7508 0.2590
Y: 0.6425 0.1069 0.0057
Y: 0.7410 0.3645 0.2492
Y: 0.7508 0.2590 0.6355
Y: 0.8931 0.9943 0.3575
Y: 0.9943 0.3575 0.8931
Al: 0.5000 0.5000 0.5000

=====

For Sm4Y9Al11, a PBE-relaxed structure gives the theoretical XRD peak list in this record (Cu Kα, 1.54184 Å).
Lines closer than 0.1° are merged.

The 10 most intense peaks (10° ≤ 2θ ≤ 80°), low angle first:
3.748 Å, 23.74 deg, I 43; 3.383 Å, 26.34 deg, I 67; 3.074 Å, 29.05 deg, I 31; 2.729 Å, 32.82 deg, I 33; 2.696 Å, 33.24 deg, I 35; 2.663 Å, 33.66 deg, I 27; 2.552 Å, 35.16 deg, I 100; 2.511 Å, 35.76 deg, I 62; 2.275 Å, 39.62 deg, I 44; 1.524 Å, 60.77 deg, I 32

Atomic structure:
Cell: 13.6614 13.6614 3.3818 Å, 90.00 90.00 110.79°
Fractional coordinates of all 24 atoms:
Sm: 0.0961 0.2607 0.0000
Sm: 0.2607 0.0961 0.0000
Sm: 0.7393 0.9039 0.0000
Sm: 0.9039 0.7393 0.0000
Y: 0.0000 0.0000 0.0000
Y: 0.1117 0.6642 0.0000
Y: 0.2960 0.4913 0.0000
Y: 0.3358 0.8883 0.0000
Y: 0.4913 0.2960 0.0000
Y: 0.5087 0.7040 0.0000
Y: 0.6642 0.1117 0.0000
Y: 0.7040 0.5087 0.0000
Y: 0.8883 0.3358 0.0000
Al: 0.0874 0.4624 0.5000
Al: 0.1209 0.8791 0.5000
Al: 0.3060 0.3060 0.5000
Al: 0.3108 0.6892 0.5000
Al: 0.4624 0.0874 0.5000
Al: 0.5000 0.5000 0.5000
Al: 0.5376 0.9126 0.5000
Al: 0.6892 0.3108 0.5000
Al: 0.6940 0.6940 0.5000
Al: 0.8791 0.1209 0.5000
Al: 0.9126 0.5376 0.5000

=====

For Sm5YAl3, a PBE-relaxed structure gives the theoretical XRD peak list in this record (Cu Kα, 1.54184 Å).
Lines closer than 0.1° are merged.

The 10 most intense peaks (10° ≤ 2θ ≤ 80°), low angle first:
3.810 Å, 23.35 deg, I 55; 2.730 Å, 32.81 deg, I 100; 2.660 Å, 33.69 deg, I 92; 2.181 Å, 41.40 deg, I 13; 1.905 Å, 47.74 deg, I 35; 1.687 Å, 54.40 deg, I 11; 1.549 Å, 59.70 deg, I 36; 1.536 Å, 60.26 deg, I 17; 1.429 Å, 65.30 deg, I 27; 1.330 Å, 70.85 deg, I 10

Atomic structure:
Cell: 9.2145 9.2145 6.7764 Å, 90.00 90.00 120.00°
Fractional coordinates of all 18 atoms:
Sm: 0.0000 0.3367 0.2500
Sm: 0.0000 0.6633 0.7500
Sm: 0.3333 0.6667 0.0000
Sm: 0.3333 0.6667 0.5000
Sm: 0.3367 0.0000 0.2500
Sm: 0.3367 0.3367 0.7500
Sm: 0.6633 0.0000 0.7500
Sm: 0.6633 0.6633 0.2500
Sm: 0.6667 0.3333 0.0000
Sm: 0.6667 0.3333 0.5000
Y: 0.0000 0.0000 0.0000
Y: 0.0000 0.0000 0.5000
Al: 0.0000 0.3272 0.7500
Al: 0.0000 0.6728 0.2500
Al: 0.3272 0.0000 0.7500
Al: 0.3272 0.3272 0.2500
Al: 0.6728 0.0000 0.2500
Al: 0.6728 0.6728 0.7500

=====

For Sm6Y2Al, a PBE-relaxed structure gives the theoretical XRD peak list in this record (Cu Kα, 1.54184 Å).
Lines closer than 0.1° are merged.

The 10 most intense peaks (10° ≤ 2θ ≤ 80°), low angle first:
3.508 Å, 25.39 deg, I 30; 2.895 Å, 30.89 deg, I 100; 2.843 Å, 31.47 deg, I 34; 2.786 Å, 32.13 deg, I 58; 2.726 Å, 32.86 deg, I 39; 2.416 Å, 37.22 deg, I 17; 1.967 Å, 46.14 deg, I 24; 1.808 Å, 50.48 deg, I 14; 1.604 Å, 57.44 deg, I 17; 1.552 Å, 59.56 deg, I 11

Atomic structure:
Cell: 10.2374 10.2618 5.4513 Å, 90.00 90.00 90.00°
Fractional coordinates of all 18 atoms:
Sm: 0.0406 0.1865 0.0000
Sm: 0.1230 0.6209 0.5000
Sm: 0.1864 0.9557 0.5000
Sm: 0.3136 0.4557 0.0000
Sm: 0.3770 0.1209 0.0000
Sm: 0.4594 0.6865 0.5000
Sm: 0.5406 0.3135 0.5000
Sm: 0.6230 0.8791 0.0000
Sm: 0.6864 0.5443 0.0000
Sm: 0.8136 0.0443 0.5000
Sm: 0.8770 0.3791 0.5000
Sm: 0.9594 0.8135 0.0000
Y: 0.2147 0.2820 0.5000
Y: 0.2853 0.7820 0.0000
Y: 0.7147 0.2180 0.0000
Y: 0.7853 0.7180 0.5000
Al: 0.0000 0.5000 0.0000
Al: 0.5000 0.0000 0.5000

=====

For Sm3Al7Zn2, a PBE-relaxed structure gives the theoretical XRD peak list in this record (Cu Kα, 1.54184 Å).
Lines closer than 0.1° are merged.

The 10 most intense peaks (10° ≤ 2θ ≤ 80°), low angle first:
4.767 Å, 18.61 deg, I 38; 4.366 Å, 20.34 deg, I 29; 2.962 Å, 30.17 deg, I 48; 2.799 Å, 31.98 deg, I 89; 2.714 Å, 33.01 deg, I 33; 2.414 Å, 37.26 deg, I 27; 2.356 Å, 38.20 deg, I 100; 1.515 Å, 61.16 deg, I 25; 1.481 Å, 62.71 deg, I 29; 1.399 Å, 66.86 deg, I 20

Atomic structure:
Cell: 9.3113 9.3113 9.3113 Å, 34.98 34.98 34.98°
Fractional coordinates of all 12 atoms:
Sm: 0.0000 0.0000 0.0000
Sm: 0.1407 0.1407 0.1407
Sm: 0.8593 0.8593 0.8593
Al: 0.0757 0.5844 0.5844
Al: 0.4156 0.4156 0.9243
Al: 0.4156 0.9243 0.4156
Al: 0.5000 0.5000 0.5000
Al: 0.5844 0.0757 0.5844
Al: 0.5844 0.5844 0.0757
Al: 0.9243 0.4156 0.4156
Zn: 0.3352 0.3352 0.3352
Zn: 0.6648 0.6648 0.6648

=====

For SmAl2Zn9, a PBE-relaxed structure gives the theoretical XRD peak list in this record (Cu Kα, 1.54184 Å).
Lines closer than 0.1° are merged.

The 10 most intense peaks (10° ≤ 2θ ≤ 80°), low angle first:
7.446 Å, 11.89 deg, I 12; 2.814 Å, 31.80 deg, I 23; 2.620 Å, 34.22 deg, I 27; 2.472 Å, 36.35 deg, I 100; 2.149 Å, 42.04 deg, I 71; 1.985 Å, 45.72 deg, I 14; 1.653 Å, 55.61 deg, I 11; 1.622 Å, 56.76 deg, I 23; 1.310 Å, 72.09 deg, I 27; 1.295 Å, 73.09 deg, I 21

Atomic structure:
Cell: 8.5973 8.5973 3.3052 Å, 90.00 90.00 120.00°
Fractional coordinates of all 12 atoms:
Sm: 0.0000 0.0000 0.0000
Al: 0.3333 0.6667 0.0000
Al: 0.6667 0.3333 0.0000
Zn: 0.0000 0.5000 0.0000
Zn: 0.1829 0.3658 0.5000
Zn: 0.1829 0.8171 0.5000
Zn: 0.3658 0.1829 0.5000
Zn: 0.5000 0.0000 0.0000
Zn: 0.5000 0.5000 0.0000
Zn: 0.6342 0.8171 0.5000
Zn: 0.8171 0.1829 0.5000
Zn: 0.8171 0.6342 0.5000